For LaSmTl2, a DFT-relaxed cell (PBE, the Materials Project) gives the simulated powder XRD pattern in this record (Cu Kα, 1.54184 Å).

```
data_LaSmTl2
_chemical_formula_sum 'La4 Sm4 Tl8'
_symmetry_space_group_name_H-M 'F m -3 m'
_symmetry_Int_Tables_number 225
_symmetry_space_group_name_Hall '-F 4 2 3'
_cell_length_a 7.866
_cell_length_b 7.866
_cell_length_c 7.866
_cell_angle_alpha 90.00
_cell_angle_beta 90.00
_cell_angle_gamma 90.00
loop_
_atom_site_label
_atom_site_fract_x
_atom_site_fract_y
_atom_site_fract_z
_atom_site_occupancy
La1 0.000 0.000 0.000 1
Sm1 0.000 0.000 0.500 1
Tl1 0.250 0.250 0.250 1
```

Main lines, in order of rising 2θ (2θ from 15° to 90°):
d = 2.781 Å, 32.19°, I = 100; d = 1.967 Å, 46.16°, I = 19; d = 1.606 Å, 57.39°, I = 39; d = 1.391 Å, 67.34°, I = 12; d = 1.244 Å, 76.61°, I = 17; d = 1.135 Å, 85.53°, I = 4